Entry 1:
For NiBiP3, a structure optimized by DFT (PBE) gives the theoretical X-ray powder pattern in this record (Cu Ka).
Kinematic intensities with the Lorentz-polarization factor, no thermal factor.

Crystal structure
Cell: 4.175 5.287 5.313 Å, 108.14 94.59 102.83°
Positions (direct):
Ni  0.000  0.000  0.000
Bi  0.358  0.495  0.416
P  0.477  0.979  0.872
P  0.847  0.298  0.807
P  0.890  0.665  0.169

Main lines, sorted by position (2θ = 10–80°):
| (hkl) | 2theta | d (Å) | I_rel |
| --- | --- | --- | --- |
| 0 1 0 | 18.29 | 4.851 | 403 |
| 0 1 -1 | 20.79 | 4.273 | 1000 |
| 1 -1 0 | 24.82 | 3.588 | 433 |
| 1 0 -1 | 26.15 | 3.407 | 809 |
| 1 -1 1 | 29.08 | 3.071 | 575 |
| 0 1 1 | 29.74 | 3.004 | 806 |
| 1 0 1 | 30.75 | 2.907 | 304 |
| 1 1 -1 | 31.94 | 2.802 | 297 |
| 1 -2 1 | 38.03 | 2.366 | 378 |
| 0 2 -2 | 42.30 | 2.137 | 280 |

Entry 2:
For Pa4Ni3Bi8, a structure optimized by DFT (PBE) gives the theoretical X-ray powder pattern in this record (Cu Ka).
Kinematic intensities with the Lorentz-polarization factor, no thermal factor.

Crystal structure
Cell: 4.565 4.565 18.119 Å, 90.00 90.00 90.00°
Positions (direct):
Pa  0.000  0.500  0.106
Pa  0.000  0.500  0.608
Pa  0.500  0.000  0.392
Pa  0.500  0.000  0.894
Ni  0.000  0.000  0.000
Ni  0.000  0.000  0.500
Ni  0.500  0.500  0.000
Bi  0.000  0.000  0.252
Bi  0.000  0.000  0.748
Bi  0.000  0.500  0.422
Bi  0.000  0.500  0.915
Bi  0.500  0.000  0.085
Bi  0.500  0.000  0.578
Bi  0.500  0.500  0.251
Bi  0.500  0.500  0.749

Main lines, sorted by position (2θ = 10–80°):
| (hkl) | 2theta | d (Å) | I_rel |
| --- | --- | --- | --- |
| 1 1 2 | 29.37 | 3.041 | 479 |
| 0 0 6 | 29.58 | 3.020 | 299 |
| 1 1 4 | 34.11 | 2.629 | 1000 |
| 1 0 6 | 35.65 | 2.519 | 108 |
| 2 0 0 | 39.48 | 2.283 | 526 |
| 2 0 6 | 50.09 | 1.821 | 291 |
| 2 2 0 | 57.06 | 1.614 | 183 |
| 1 1 10 | 58.41 | 1.580 | 141 |
| 2 2 6 | 65.58 | 1.423 | 134 |
| 3 1 4 | 68.18 | 1.375 | 278 |